(1)
Calculated powder diffractogram of BC5 for Cu Kα, 1.54184 Å, from a DFT-relaxed cell (PBE, Alexandria).

Most intense lines, 2θ = 10–90°, in order of falling intensity:
| 2theta | d (Å) | intensity | h k l |
| --- | --- | --- | --- |
| 43.17 | 2.095 | 100 | 1 1 1 |
| 42.95 | 2.106 | 96 | 1 1 -2 |
| 73.47 | 1.289 | 26 | 0 2 3 |
| 73.76 | 1.285 | 25 | 2 2 -1 |
| 89.32 | 1.097 | 23 | 3 1 -3 |
| 73.35 | 1.291 | 13 | 2 0 -4 |
| 74.00 | 1.281 | 13 | 2 0 2 |
| 89.14 | 1.098 | 9 | 1 3 -2 |

Crystal structure
Cell: 3.6249 3.6417 5.7791 Å, 90.00 108.71 90.00°
Space group P2/c (No. 13)
Asymmetric unit:
B 0.0000 0.1279 0.2500 x2
C 0.1710 0.3808 0.0788 x4
C 0.3443 0.1350 0.9232 x4
C 0.5000 0.3716 0.7500 x2

---

(2)
Calculated powder diffractogram of Tb4Mg2In for Cu Kα, 1.54184 Å, from a DFT-relaxed cell (PBE, Alexandria).

Most intense lines, 2θ = 10–90°, in order of falling intensity:
| 2theta | d (Å) | intensity | h k l |
| --- | --- | --- | --- |
| 25.16 | 3.540 | 100 | 0 1 5 |
| 34.29 | 2.615 | 85 | 1 1 0 |
| 29.58 | 3.020 | 39 | 1 0 7 |
| 43.00 | 2.104 | 24 | 2 0 5 |
| 56.11 | 1.639 | 22 | 1 2 5 |
| 61.40 | 1.510 | 20 | 3 0 0 |
| 52.17 | 1.753 | 19 | 1 1 12 |
| 37.42 | 2.404 | 18 | 1 0 10 |

Crystal structure
Cell: 5.2310 5.2310 28.3563 Å, 90.00 90.00 120.00°
Space group R-3m (No. 166, hexagonal axes)
Asymmetric unit:
Tb 0.0000 0.0000 0.1265 x6
Tb 0.0000 0.0000 0.2917 x6
Mg 0.0000 0.0000 0.4039 x6
In 0.0000 0.0000 0.5000 x3

---

(3)
Calculated powder diffractogram of Hf2Ta3Si4 for Cu Kα, 1.54184 Å, from a DFT-relaxed cell (PBE, Alexandria).

Most intense lines, 2θ = 10–90°, in order of falling intensity:
| 2theta | d (Å) | intensity | h k l |
| --- | --- | --- | --- |
| 37.99 | 2.369 | 100 | 1 1 2 |
| 37.46 | 2.401 | 90 | 2 2 -1 |
| 38.28 | 2.351 | 69 | 2 2 0 |
| 30.06 | 2.973 | 67 | 1 1 -2 |
| 42.64 | 2.120 | 58 | 1 1 -3 |
| 42.08 | 2.147 | 54 | 0 3 1 |
| 29.68 | 3.010 | 48 | 0 2 1 |
| 26.23 | 3.398 | 41 | 1 1 1 |

Crystal structure
Cell: 6.8563 6.8495 6.6902 Å, 90.00 109.40 90.00°
Space group P2_1/c (No. 14)
Asymmetric unit:
Hf 0.1871 0.1696 0.0594 x4
Ta 0.2505 0.6771 0.2457 x4
Ta 0.5000 0.0000 0.5000 x2
Si 0.0766 0.5331 0.8551 x4
Si 0.4879 0.1270 0.8697 x4

---

(4)
Calculated powder diffractogram of LiCaTlTeSeF for Cu Kα, 1.54184 Å, from a DFT-relaxed cell (PBE, Alexandria).

Most intense lines, 2θ = 10–90°, in order of falling intensity:
| 2theta | d (Å) | intensity | h k l |
| --- | --- | --- | --- |
| 32.38 | 2.765 | 100 | 3 1 0 |
| 26.18 | 3.404 | 66 | 1 1 0 |
| 26.59 | 3.353 | 65 | 4 0 0 |
| 27.91 | 3.197 | 61 | 0 0 2 |
| 39.69 | 2.271 | 56 | 3 1 -2 |
| 13.85 | 6.394 | 55 | 0 0 1 |
| 39.88 | 2.260 | 51 | 1 1 2 |
| 27.77 | 3.212 | 51 | 2 0 -2 |

Crystal structure
Cell: 13.8438 3.5191 6.6008 Å, 90.00 104.37 90.00°
Space group Cm (No. 8)
Asymmetric unit:
Li 0.0000 0.0000 0.0000 x2
Ca 0.1913 0.5000 0.8471 x2
Tl 0.3791 0.0000 0.4380 x2
Te 0.1613 0.5000 0.3399 x2
Se 0.3626 0.0000 0.9397 x2
F 0.0906 0.0000 0.8307 x2

---

Please write out number 3 again, unchanged.
Calculated powder diffractogram of Hf2Ta3Si4 for Cu Kα, 1.54184 Å, from a DFT-relaxed cell (PBE, Alexandria).

Most intense lines, 2θ = 10–90°, in order of falling intensity:
| 2theta | d (Å) | intensity | h k l |
| --- | --- | --- | --- |
| 37.99 | 2.369 | 100 | 1 1 2 |
| 37.46 | 2.401 | 90 | 2 2 -1 |
| 38.28 | 2.351 | 69 | 2 2 0 |
| 30.06 | 2.973 | 67 | 1 1 -2 |
| 42.64 | 2.120 | 58 | 1 1 -3 |
| 42.08 | 2.147 | 54 | 0 3 1 |
| 29.68 | 3.010 | 48 | 0 2 1 |
| 26.23 | 3.398 | 41 | 1 1 1 |

Crystal structure
Cell: 6.8563 6.8495 6.6902 Å, 90.00 109.40 90.00°
Space group P2_1/c (No. 14)
Asymmetric unit:
Hf 0.1871 0.1696 0.0594 x4
Ta 0.2505 0.6771 0.2457 x4
Ta 0.5000 0.0000 0.5000 x2
Si 0.0766 0.5331 0.8551 x4
Si 0.4879 0.1270 0.8697 x4